The following is a theoretical PXRD pattern of NdDy4Al4. It was derived from a structure optimized by DFT (PBE), using copper Kα.
Kinematic intensities with the Lorentz-polarization factor, no thermal factor.

```
data_NdDy4Al4
_space_group_name_H-M_alt 'I 4/m'
_space_group_IT_number 87
_space_group_name_Hall '-I 4'
_cell_length_a 9.8282
_cell_length_b 9.8282
_cell_length_c 5.1236
_cell_angle_alpha 90.00
_cell_angle_beta 90.00
_cell_angle_gamma 90.00
loop_
_atom_site_label
_atom_site_fract_x
_atom_site_fract_y
_atom_site_fract_z
_atom_site_occupancy
Nd1 0.0000 0.0000 0.0000 1
Dy1 0.1108 0.3526 0.0000 1
Al1 0.0773 0.1774 0.5000 1
```

Largest 10 diffraction maxima, in order of rising 2θ, 2θ from 10° to 90°:
two_theta, Rel. int.
26.72, 100
28.72, 49
32.44, 18
35.03, 26
36.57, 12
37.37, 59
45.91, 28
53.29, 14
60.05, 25
64.37, 12